Simulated XRD peak list of MnFe5P6O24 for Cu Kα (weighted mean of Kα1 and Kα2), from DFT lattice parameters and positions (GGA+U).
Peak positions follow from Bragg's law for the DFT cell and can differ from measured ones.

Crystal structure
Lattice parameters (Å, degrees): 8.4354 8.4354 8.4354 61.81 61.81 61.81
Positions (direct):
Mn1 0.0000 0.0000 0.0000
Fe1 0.1459 0.1459 0.1459
Fe2 0.2914 0.2914 0.2914
Fe3 0.4991 0.4991 0.4991
Fe4 0.6446 0.6446 0.6446
Fe5 0.7908 0.7908 0.7908
P1 0.0987 0.6928 0.3939
P2 0.1914 0.5983 0.8942
P3 0.3939 0.0987 0.6928
P4 0.5983 0.8942 0.1914
P5 0.6928 0.3939 0.0987
P6 0.8942 0.1914 0.5983
O1 0.0391 0.6426 0.8174
O2 0.0512 0.2017 0.3971
O3 0.0866 0.8954 0.2409
O4 0.1438 0.5381 0.3203
O5 0.1535 0.7508 0.9665
O6 0.2017 0.3971 0.0512
O7 0.2409 0.0866 0.8954
O8 0.2546 0.6494 0.4661
O9 0.3203 0.1438 0.5381
O10 0.3961 0.5807 0.7407
O11 0.3971 0.0512 0.2017
O12 0.4661 0.2546 0.6494
O13 0.5381 0.3203 0.1438
O14 0.5480 0.8955 0.7063
O15 0.5807 0.7407 0.3961
O16 0.6426 0.8174 0.0391
O17 0.6494 0.4661 0.2546
O18 0.7063 0.5480 0.8955
O19 0.7407 0.3961 0.5807
O20 0.7508 0.9665 0.1535
O21 0.8174 0.0391 0.6426
O22 0.8954 0.2409 0.0866
O23 0.8955 0.7063 0.5480
O24 0.9665 0.1535 0.7508

Most intense lines, 2θ from 10° to 90°, by intensity:
2theta  d_spacing  I (rel.)
24.37  3.653  100
20.50  4.333  87
33.53  2.673  74
35.90  2.501  42
49.94  1.826  29
48.01  1.895  28
56.17  1.638  24
63.02  1.475  23

=====

Simulated XRD peak list of MgCoP2O7 for Cu Kα (weighted mean of Kα1 and Kα2), from DFT lattice parameters and positions (GGA+U).
Peak positions follow from Bragg's law for the DFT cell and can differ from measured ones.

Crystal structure
Lattice parameters (Å, degrees): 7.0407 8.4077 9.1702 90.00 113.16 90.00
Positions (direct):
Mg1 0.1950 0.0599 0.3187
Mg2 0.1950 0.4401 0.8187
Mg3 0.8050 0.5599 0.1813
Mg4 0.8050 0.9401 0.6813
Co1 0.2677 0.0726 0.8920
Co2 0.2677 0.4274 0.3920
Co3 0.7323 0.5726 0.6080
Co4 0.7323 0.9274 0.1080
P1 0.0319 0.7266 0.9683
P2 0.0319 0.7734 0.4683
P3 0.4401 0.7337 0.2590
P4 0.4401 0.7663 0.7590
P5 0.5599 0.2337 0.2410
P6 0.5599 0.2663 0.7410
P7 0.9681 0.2266 0.5317
P8 0.9681 0.2734 0.0317
O1 0.0120 0.0916 0.6531
O2 0.0120 0.4084 0.1531
O3 0.0498 0.6108 0.3966
O4 0.0498 0.8892 0.8966
O5 0.1227 0.2332 0.4510
O6 0.1227 0.2668 0.9510
O7 0.2496 0.6751 0.1011
O8 0.2496 0.8249 0.6011
O9 0.3798 0.2410 0.2963
O10 0.3798 0.2590 0.7963
O11 0.3865 0.6098 0.8134
O12 0.3865 0.8902 0.3134
O13 0.4746 0.5968 0.3789
O14 0.4746 0.9032 0.8789
O15 0.5254 0.0968 0.1211
O16 0.5254 0.4032 0.6211
O17 0.6135 0.1098 0.6866
O18 0.6135 0.3902 0.1866
O19 0.6202 0.7410 0.2037
O20 0.6202 0.7590 0.7037
O21 0.7504 0.1751 0.3989
O22 0.7504 0.3249 0.8989
O23 0.8773 0.7332 0.0490
O24 0.8773 0.7668 0.5490
O25 0.9502 0.1108 0.1034
O26 0.9502 0.3892 0.6034
O27 0.9880 0.5916 0.8469
O28 0.9880 0.9084 0.3469

Most intense lines, 2θ from 10° to 90°, by intensity:
2theta  d_spacing  I (rel.)
29.36  3.042  100
29.49  3.029  59
17.22  5.149  19
42.54  2.125  18
35.00  2.564  16
57.90  1.593  15
14.88  5.953  15
56.49  1.629  10

=====

Simulated XRD peak list of V3CrO8 for Cu Kα (weighted mean of Kα1 and Kα2), from DFT lattice parameters and positions (GGA+U).
Peak positions follow from Bragg's law for the DFT cell and can differ from measured ones.

Crystal structure
Lattice parameters (Å, degrees): 6.3874 6.3874 6.4721 106.40 106.40 34.90
Positions (direct):
V1 0.0000 0.0000 0.0000
V2 0.1042 0.1042 0.5871
V3 0.8005 0.8005 0.5760
Cr1 0.6946 0.6946 0.9860
O1 0.0433 0.0433 0.3121
O2 0.1578 0.1578 0.9403
O3 0.2672 0.2672 0.6055
O4 0.5359 0.5359 0.0059
O5 0.6445 0.6445 0.6523
O6 0.7624 0.7624 0.3049
O7 0.8504 0.8504 0.9424
O8 0.9551 0.9551 0.6615

Most intense lines, 2θ from 10° to 90°, by intensity:
2theta  d_spacing  I (rel.)
24.46  3.639  100
14.33  6.182  54
28.88  3.091  53
15.22  5.821  44
47.46  1.916  41
29.81  2.997  39
43.94  2.061  32
44.62  2.031  32

=====

Simulated XRD peak list of Mn3O2F4 for Cu Kα (weighted mean of Kα1 and Kα2), from DFT lattice parameters and positions (GGA+U).
Peak positions follow from Bragg's law for the DFT cell and can differ from measured ones.

Crystal structure
Lattice parameters (Å, degrees): 10.8774 10.8774 3.1364 90.00 90.00 143.41
Positions (direct):
Mn1 0.0000 0.0000 0.0000
Mn2 0.1709 0.8291 0.5000
Mn3 0.3241 0.6759 0.0000
Mn4 0.5000 0.5000 0.5000
Mn5 0.6759 0.3241 0.0000
Mn6 0.8291 0.1709 0.5000
O1 0.2653 0.7347 0.5000
O2 0.3104 0.3104 0.0000
O3 0.6896 0.6896 0.0000
O4 0.7347 0.2653 0.5000
F1 0.0306 0.3609 0.0000
F2 0.0704 0.9296 0.5000
F3 0.3609 0.0306 0.0000
F4 0.3888 0.6112 0.5000
F5 0.6112 0.3888 0.5000
F6 0.6391 0.9694 0.0000
F7 0.9296 0.0704 0.5000
F8 0.9694 0.6391 0.0000

Most intense lines, 2θ from 10° to 90°, by intensity:
2theta  d_spacing  I (rel.)
26.10  3.415  100
25.88  3.442  99
34.04  2.633  96
51.34  1.780  63
51.10  1.788  57
64.90  1.437  44
58.89  1.568  21
38.99  2.310  19

=====

Simulated XRD peak list of Li4NbFeTe2O12 for Cu Kα (weighted mean of Kα1 and Kα2), from DFT lattice parameters and positions (GGA+U).
Peak positions follow from Bragg's law for the DFT cell and can differ from measured ones.

Crystal structure
Lattice parameters (Å, degrees): 5.1764 5.4441 7.5309 86.07 89.81 89.95
Positions (direct):
Li1 0.0000 0.0000 0.0000
Li2 0.0027 0.0165 0.5435
Li3 0.4950 0.4480 0.9862
Li4 0.4994 0.4824 0.5379
Nb1 0.4973 0.9290 0.2433
Fe1 0.9994 0.4432 0.7391
Te1 0.4980 0.9298 0.7403
Te2 0.9970 0.4326 0.2378
O1 0.1201 0.4040 0.9982
O2 0.1771 0.1126 0.2966
O3 0.2055 0.7387 0.6663
O4 0.3050 0.2231 0.6737
O5 0.3135 0.6050 0.2985
O6 0.3744 0.9170 0.9862
O7 0.6259 0.9217 0.4870
O8 0.6727 0.6162 0.7866
O9 0.6922 0.2385 0.1674
O10 0.8054 0.1077 0.7880
O11 0.8166 0.7370 0.1665
O12 0.8730 0.4182 0.4763

Most intense lines, 2θ from 10° to 90°, by intensity:
2theta  d_spacing  I (rel.)
23.72  3.750  100
32.96  2.717  37
34.62  2.591  24
53.62  1.709  14
48.59  1.874  12
55.89  1.645  10
61.00  1.519  10
53.51  1.712  9

=====

Simulated XRD peak list of LiCrF4 for Cu Kα (weighted mean of Kα1 and Kα2), from DFT lattice parameters and positions (GGA+U).
Peak positions follow from Bragg's law for the DFT cell and can differ from measured ones.

Crystal structure
Lattice parameters (Å, degrees): 9.3703 9.3703 7.3632 98.95 98.95 66.11
Positions (direct):
Li1 0.0132 0.6113 0.8916
Li2 0.1111 0.1180 0.3412
Li3 0.1180 0.1111 0.8412
Li4 0.3887 0.9868 0.6084
Li5 0.6113 0.0132 0.3916
Li6 0.8820 0.8889 0.1588
Li7 0.8889 0.8820 0.6588
Li8 0.9868 0.3887 0.1084
Cr1 0.2443 0.7507 0.5018
Cr2 0.2493 0.7557 0.9982
Cr3 0.3210 0.3289 0.4104
Cr4 0.3289 0.3210 0.9104
Cr5 0.6711 0.6790 0.0896
Cr6 0.6790 0.6711 0.5896
Cr7 0.7507 0.2443 0.0018
Cr8 0.7557 0.2493 0.4982
F1 0.0286 0.8190 0.9015
F2 0.0450 0.7527 0.5062
F3 0.1093 0.3958 0.3200
F4 0.1185 0.3242 0.9128
F5 0.1726 0.8274 0.2500
F6 0.1810 0.9714 0.5985
F7 0.2314 0.5493 0.0024
F8 0.2473 0.9550 0.9938
F9 0.2629 0.3895 0.6624
F10 0.3151 0.6849 0.7500
F11 0.3242 0.1185 0.4128
F12 0.3322 0.5318 0.3988
F13 0.3895 0.2629 0.1624
F14 0.3958 0.1093 0.8200
F15 0.4507 0.7686 0.4976
F16 0.4682 0.6678 0.1012
F17 0.5318 0.3322 0.8988
F18 0.5493 0.2314 0.5024
F19 0.6042 0.8907 0.1800
F20 0.6105 0.7371 0.8376
F21 0.6678 0.4682 0.6012
F22 0.6758 0.8815 0.5872
F23 0.6849 0.3151 0.2500
F24 0.7371 0.6105 0.3376
F25 0.7527 0.0450 0.0062
F26 0.7686 0.4507 0.9976
F27 0.8190 0.0286 0.4015
F28 0.8274 0.1726 0.7500
F29 0.8815 0.6758 0.0872
F30 0.8907 0.6042 0.6800
F31 0.9550 0.2473 0.4938
F32 0.9714 0.1810 0.0985

Most intense lines, 2θ from 10° to 90°, by intensity:
2theta  d_spacing  I (rel.)
20.85  4.261  100
19.31  4.596  44
24.61  3.618  31
29.00  3.080  30
25.17  3.538  26
39.11  2.303  26
10.38  8.523  25
50.33  1.813  24